Entry 1:
Simulated powder diffraction line list
Compound: Na3Mn2P2C2O14
Radiation: copper Kα
Structure: a cell relaxed with PBE+U

Most intense lines, 5° ≤ 2θ ≤ 70°, low angle first:
2theta, I/Imax
9.85, 100.0
16.70, 40.0
19.99, 14.7
21.80, 19.7
24.17, 19.6
25.90, 29.7
27.08, 36.8
33.61, 14.8
33.76, 15.3
34.57, 22.0

Structure:
abc: 8.979 6.586 10.383
angles: 90.00 91.51 90.00
Fractional coordinates of all 46 atoms:
Na1 0.240 0.000 0.381
Na2 0.241 0.018 0.878
Na3 0.242 0.537 0.873
Na4 0.758 0.037 0.127
Na5 0.759 0.518 0.122
Na6 0.760 0.500 0.619
Mn1 0.346 0.283 0.604
Mn2 0.348 0.283 0.112
Mn3 0.652 0.783 0.888
Mn4 0.654 0.783 0.396
P1 0.425 0.776 0.643
P2 0.428 0.780 0.143
P3 0.572 0.280 0.857
P4 0.575 0.276 0.357
C1 0.077 0.270 0.634
C2 0.078 0.276 0.135
C3 0.922 0.776 0.865
C4 0.923 0.770 0.366
O1 0.059 0.771 0.350
O2 0.061 0.776 0.856
O3 0.143 0.269 0.523
O4 0.146 0.283 0.024
O5 0.173 0.270 0.232
O6 0.178 0.274 0.731
O7 0.324 0.590 0.619
O8 0.330 0.965 0.608
O9 0.331 0.967 0.106
O10 0.333 0.593 0.104
O11 0.422 0.280 0.930
O12 0.428 0.265 0.429
O13 0.463 0.784 0.793
O14 0.467 0.785 0.290
O15 0.533 0.285 0.710
O16 0.537 0.284 0.207
O17 0.572 0.765 0.571
O18 0.578 0.780 0.070
O19 0.667 0.093 0.896
O20 0.669 0.467 0.894
O21 0.670 0.465 0.392
O22 0.676 0.090 0.381
O23 0.822 0.774 0.269
O24 0.827 0.770 0.768
O25 0.854 0.783 0.976
O26 0.857 0.769 0.477
O27 0.939 0.276 0.144
O28 0.941 0.271 0.650



Entry 2:
Simulated powder diffraction line list
Compound: LiFeP2HO7
Radiation: copper Kα
Structure: a cell relaxed with PBE+U

Most intense lines, 5° ≤ 2θ ≤ 70°, low angle first:
2theta, I/Imax
19.72, 100.0
20.81, 31.5
27.50, 34.6
27.76, 34.8
28.90, 73.0
29.15, 64.4
29.41, 43.4
30.27, 42.0
31.89, 81.8
32.26, 51.1

Structure:
abc: 6.572 8.745 9.947
angles: 89.58 71.26 78.00
Fractional coordinates of all 48 atoms:
Li1 0.177 0.009 0.378
Li2 0.218 0.531 0.873
Li3 0.782 0.469 0.127
Li4 0.823 0.991 0.622
Fe1 0.108 0.473 0.274
Fe2 0.335 0.914 0.811
Fe3 0.665 0.086 0.189
Fe4 0.892 0.527 0.726
P1 0.241 0.732 0.573
P2 0.267 0.206 0.055
P3 0.289 0.746 0.139
P4 0.327 0.242 0.627
P5 0.673 0.758 0.373
P6 0.711 0.254 0.861
P7 0.733 0.794 0.945
P8 0.759 0.268 0.427
H1 0.056 0.808 0.014
H2 0.100 0.285 0.496
H3 0.900 0.715 0.504
H4 0.944 0.192 0.986
O1 0.097 0.614 0.559
O2 0.129 0.376 0.075
O3 0.129 0.862 0.250
O4 0.139 0.895 0.550
O5 0.157 0.092 0.001
O6 0.165 0.364 0.742
O7 0.213 0.740 0.000
O8 0.240 0.215 0.501
O9 0.291 0.718 0.715
O10 0.338 0.165 0.186
O11 0.356 0.578 0.180
O12 0.413 0.086 0.677
O13 0.471 0.673 0.444
O14 0.487 0.195 0.921
O15 0.513 0.805 0.079
O16 0.529 0.327 0.556
O17 0.587 0.914 0.323
O18 0.644 0.422 0.820
O19 0.662 0.835 0.814
O20 0.709 0.282 0.285
O21 0.760 0.785 0.499
O22 0.787 0.260 0.000
O23 0.835 0.636 0.258
O24 0.843 0.908 0.999
O25 0.861 0.105 0.450
O26 0.871 0.138 0.750
O27 0.871 0.624 0.925
O28 0.903 0.386 0.441



Entry 3:
Simulated powder diffraction line list
Compound: Li3FeB5O10
Radiation: copper Kα
Structure: a cell relaxed with PBE+U

Most intense lines, 5° ≤ 2θ ≤ 70°, low angle first:
2theta, I/Imax
10.06, 73.1
15.27, 36.3
15.58, 100.0
17.27, 31.7
20.97, 64.9
29.20, 66.7
29.54, 97.8
30.27, 34.6
30.71, 70.1
35.50, 52.5

Structure:
abc: 6.975 7.123 9.426
angles: 80.68 68.92 61.97
Fractional coordinates of all 38 atoms:
Li1 0.026 0.185 0.464
Li2 0.197 0.993 0.834
Li3 0.238 0.497 0.250
Li4 0.762 0.503 0.750
Li5 0.803 0.007 0.166
Li6 0.974 0.815 0.536
Fe1 0.215 0.525 0.882
Fe2 0.785 0.475 0.118
B1 0.218 0.169 0.136
B2 0.257 0.282 0.603
B3 0.307 0.809 0.073
B4 0.361 0.755 0.568
B5 0.410 0.859 0.291
B6 0.590 0.141 0.709
B7 0.639 0.245 0.432
B8 0.693 0.191 0.927
B9 0.743 0.718 0.397
B10 0.782 0.831 0.864
O1 0.051 0.302 0.621
O2 0.132 0.380 0.106
O3 0.217 0.753 0.706
O4 0.225 0.029 0.043
O5 0.272 0.842 0.448
O6 0.279 0.698 0.989
O7 0.307 0.087 0.254
O8 0.344 0.217 0.726
O9 0.402 0.316 0.462
O10 0.408 0.723 0.187
O11 0.592 0.277 0.813
O12 0.598 0.684 0.538
O13 0.656 0.783 0.274
O14 0.693 0.913 0.746
O15 0.721 0.302 0.011
O16 0.728 0.158 0.552
O17 0.775 0.971 0.957
O18 0.783 0.247 0.294
O19 0.868 0.620 0.894
O20 0.949 0.698 0.379



Entry 4:
Simulated powder diffraction line list
Compound: NaNiPO4
Radiation: copper Kα
Structure: a cell relaxed with PBE+U

Most intense lines, 5° ≤ 2θ ≤ 70°, low angle first:
2theta, I/Imax
15.57, 100.0
20.49, 14.6
20.80, 19.0
30.30, 40.9
33.40, 22.2
34.64, 68.0
41.46, 18.6
50.44, 14.0
50.73, 30.5
56.24, 17.5

Structure:
abc: 11.382 6.458 4.689
angles: 90.00 90.00 90.00
Fractional coordinates of all 28 atoms:
Na1 0.222 0.250 0.023
Na2 0.278 0.750 0.523
Na3 0.722 0.250 0.477
Na4 0.778 0.750 0.977
Ni1 0.000 0.000 0.500
Ni2 0.000 0.500 0.500
Ni3 0.500 0.000 0.000
Ni4 0.500 0.500 0.000
P1 0.079 0.750 0.095
P2 0.421 0.250 0.595
P3 0.579 0.750 0.405
P4 0.921 0.250 0.905
O1 0.046 0.250 0.755
O2 0.072 0.750 0.764
O3 0.140 0.552 0.213
O4 0.140 0.948 0.213
O5 0.360 0.052 0.713
O6 0.360 0.448 0.713
O7 0.428 0.250 0.264
O8 0.454 0.750 0.255
O9 0.546 0.250 0.745
O10 0.572 0.750 0.736
O11 0.640 0.552 0.287
O12 0.640 0.948 0.287
O13 0.860 0.052 0.787
O14 0.860 0.448 0.787
O15 0.928 0.250 0.236
O16 0.954 0.750 0.245



Entry 5:
Simulated powder diffraction line list
Compound: MgZn2Fe4O8
Radiation: copper Kα
Structure: a cell relaxed with PBE+U

Most intense lines, 5° ≤ 2θ ≤ 70°, low angle first:
2theta, I/Imax
28.67, 27.9
32.81, 25.5
32.98, 85.0
33.82, 100.0
34.34, 85.8
34.90, 29.0
41.58, 25.7
54.52, 37.3
58.73, 38.4
61.15, 34.9

Structure:
abc: 6.295 6.295 6.064
angles: 118.77 118.77 59.28
Fractional coordinates of all 15 atoms:
Mg1 0.000 0.000 0.000
Zn1 0.213 0.213 0.938
Zn2 0.559 0.559 0.062
Fe1 0.141 0.660 0.410
Fe2 0.196 0.196 0.486
Fe3 0.660 0.141 0.410
Fe4 0.705 0.705 0.720
O1 0.336 0.908 0.638
O2 0.386 0.951 0.175
O3 0.418 0.418 0.652
O4 0.424 0.424 0.206
O5 0.874 0.874 0.616
O6 0.883 0.883 0.155
O7 0.908 0.336 0.638
O8 0.951 0.386 0.175



Entry 6:
Simulated powder diffraction line list
Compound: TmCr2O2
Radiation: copper Kα
Structure: a cell relaxed with PBE+U

Most intense lines, 5° ≤ 2θ ≤ 70°, low angle first:
2theta, I/Imax
13.63, 54.6
24.17, 25.0
27.46, 48.7
28.23, 100.0
30.06, 27.4
36.29, 50.9
37.50, 18.0
40.35, 30.3
41.71, 22.2
49.50, 32.6

Structure:
abc: 7.894 7.894 7.894
angles: 111.02 111.02 106.41
Fractional coordinates of all 20 atoms:
Tm1 0.000 0.000 0.000
Tm2 0.000 0.000 0.500
Tm3 0.000 0.500 0.000
Tm4 0.500 0.000 0.500
Cr1 0.088 0.644 0.445
Cr2 0.301 0.356 0.945
Cr3 0.356 0.301 0.445
Cr4 0.356 0.912 0.055
Cr5 0.644 0.088 0.945
Cr6 0.644 0.699 0.555
Cr7 0.699 0.644 0.055
Cr8 0.912 0.356 0.555
O1 0.202 0.301 0.599
O2 0.202 0.604 0.901
O3 0.301 0.202 0.099
O4 0.396 0.798 0.599
O5 0.604 0.202 0.401
O6 0.699 0.798 0.901
O7 0.798 0.396 0.099
O8 0.798 0.699 0.401